This entry pairs a crystal structure of KSrSiAs2 with its theoretical PXRD pattern. Radiation: λ = 1.5418 Å (Cu Kα). Structure: a GGA-PBE-relaxed structure.
Kinematic intensities with the Lorentz-polarization factor, no thermal factor.

Principal peaks in the range 2θ from 10° to 90°, by angle:
2θ/deg, intensity, hkl
11.6, 47, 0 2 0
20.3, 31, 1 1 1
20.7, 36, 2 0 0
26.2, 100, 1 3 1
26.6, 35, 2 0 1
29.1, 45, 2 2 1
31.4, 38, 2 4 0
35.4, 56, 0 2 2
39.6, 42, 2 0 2
39.9, 32, 3 3 1

Crystal structure
Lattice parameters (Å, degrees): 8.568 15.297 5.377 90.00 90.00 90.00
Space group Cmme (No. 67)
Symmetry-distinct sites (fractional):
1 K 0.000 0.250 0.242 (multiplicity 4)
2 Sr 0.250 0.000 0.000 (multiplicity 4)
3 Si 0.000 0.000 0.500 (multiplicity 4)
4 As 0.000 0.122 0.732 (multiplicity 8)



This entry pairs a crystal structure of Li2NpCuCl6 with its theoretical PXRD pattern. Radiation: λ = 1.5418 Å (Cu Kα). Structure: a GGA-PBE-relaxed structure.
Kinematic intensities with the Lorentz-polarization factor, no thermal factor.

Principal peaks in the range 2θ from 10° to 90°, by angle:
2θ/deg, intensity, hkl
15.8, 80, 0 0 2
16.0, 65, 0 1 1
19.0, 100, 1 1 -1
24.7, 57, 1 1 1
24.9, 61, 1 1 -3
30.6, 47, 2 0 -4
32.0, 37, 0 0 4
32.3, 32, 0 2 2
38.5, 44, 2 2 -2
47.6, 28, 1 3 1

Crystal structure
Lattice parameters (Å, degrees): 6.873 6.381 13.089 90.00 121.23 90.00
Space group P2_1/c (No. 14)
Symmetry-distinct sites (fractional):
1 Li 0.206 0.004 0.207 (multiplicity 4)
2 Np 0.500 0.000 0.000 (multiplicity 2)
3 Cu 0.000 0.000 0.500 (multiplicity 2)
4 Cl 0.146 0.731 0.327 (multiplicity 4)
5 Cl 0.160 0.208 0.011 (multiplicity 4)
6 Cl 0.478 0.747 0.162 (multiplicity 4)



This entry pairs a crystal structure of Nd2Hg2Sb with its theoretical PXRD pattern. Radiation: λ = 1.5418 Å (Cu Kα). Structure: a GGA-PBE-relaxed structure.
Kinematic intensities with the Lorentz-polarization factor, no thermal factor.

Principal peaks in the range 2θ from 10° to 90°, by angle:
2θ/deg, intensity, hkl
28.4, 100, 2 0 1
40.2, 41, 0 2 0
41.1, 35, 1 1 3
50.0, 21, 2 2 1
51.4, 6, 0 0 5
58.9, 12, 4 0 2
66.1, 19, 5 1 0
67.2, 15, 3 1 4
73.2, 5, 3 3 -1
73.8, 8, 4 2 2

Crystal structure
Lattice parameters (Å, degrees): 7.770 4.478 9.262 90.00 106.31 90.00
Space group C2/m (No. 12)
Symmetry-distinct sites (fractional):
1 Nd 0.100 0.000 0.299 (multiplicity 4)
2 Hg 0.193 0.500 0.080 (multiplicity 4)
3 Sb 0.000 0.500 0.500 (multiplicity 2)



This entry pairs a crystal structure of PaBiAs with its theoretical PXRD pattern. Radiation: λ = 1.5418 Å (Cu Kα). Structure: a GGA-PBE-relaxed structure.
Kinematic intensities with the Lorentz-polarization factor, no thermal factor.

Principal peaks in the range 2θ from 10° to 90°, by angle:
2θ/deg, intensity, hkl
23.6, 47, 1 0 1
25.0, 29, 0 0 3
31.4, 100, 1 1 0
33.6, 96, 1 0 3
40.6, 39, 1 1 3
45.1, 38, 2 0 0
46.6, 23, 1 1 4
56.5, 16, 1 0 6
57.4, 49, 2 1 3
74.6, 18, 3 1 0

Crystal structure
Lattice parameters (Å, degrees): 4.024 4.024 10.687 90.00 90.00 90.00
Space group P4/nmm (No. 129, origin choice 2)
Symmetry-distinct sites (fractional):
1 Pa 0.250 0.250 0.121 (multiplicity 2)
2 Bi 0.250 0.250 0.434 (multiplicity 2)
3 As 0.250 0.250 0.842 (multiplicity 2)



This entry pairs a crystal structure of Nd4BiPd with its theoretical PXRD pattern. Radiation: λ = 1.5418 Å (Cu Kα). Structure: a GGA-PBE-relaxed structure.
Kinematic intensities with the Lorentz-polarization factor, no thermal factor.

Principal peaks in the range 2θ from 10° to 90°, by angle:
2θ/deg, intensity, hkl
29.0, 45, 1 3 1
29.4, 26, 0 4 1
30.3, 42, 1 1 -2
30.7, 72, 3 1 -1
32.7, 100, 1 5 0
33.7, 78, 2 2 1
35.1, 38, 1 3 -2
37.4, 21, 3 3 0
43.3, 34, 2 6 -1
53.6, 29, 4 2 -3

Crystal structure
Lattice parameters (Å, degrees): 8.995 14.503 6.041 90.00 112.39 90.00
Space group C2/c (No. 15)
Symmetry-distinct sites (fractional):
1 Nd 0.110 0.190 0.070 (multiplicity 8)
2 Nd 0.219 0.422 0.347 (multiplicity 8)
3 Bi 0.000 0.383 0.750 (multiplicity 4)
4 Pd 0.000 0.001 0.750 (multiplicity 4)



This entry pairs a crystal structure of PuV4Se8 with its theoretical PXRD pattern. Radiation: λ = 1.5418 Å (Cu Kα). Structure: a GGA-PBE-relaxed structure.
Kinematic intensities with the Lorentz-polarization factor, no thermal factor.

Principal peaks in the range 2θ from 10° to 90°, by angle:
2θ/deg, intensity, hkl
15.0, 30, 1 0 1
16.8, 27, 0 1 2
22.9, 13, 1 0 4
28.3, 15, 1 1 3
34.0, 100, 0 2 4
46.7, 37, 2 0 8
51.0, 32, 2 2 0
62.7, 16, 4 0 4
78.4, 14, 2 2 12
85.0, 14, 2 4 4

Crystal structure
Lattice parameters (Å, degrees): 7.1635 7.1635 19.9743 90.00 90.00 120.00
Space group R-3m (No. 166, hexagonal axes)
Symmetry-distinct sites (fractional):
1 Pu 0.0000 0.0000 0.0000 (multiplicity 3)
2 V 0.0000 0.0000 0.5000 (multiplicity 3)
3 V 0.0000 0.5000 0.5000 (multiplicity 9)
4 Se 0.0000 0.0000 0.2398 (multiplicity 6)
5 Se 0.0093 0.5047 0.2420 (multiplicity 18)